(1)
ThZr2N4: simulated XRD peak list (Cu Ka), based on the GGA-PBE geometry in Alexandria.
Intensities are scaled so that the largest is 100.

Principal peaks in the range 10° ≤ 2θ ≤ 90°, sorted by position:
| two_theta | I/Imax |
| --- | --- |
| 18.36 | 40 |
| 29.45 | 47 |
| 29.82 | 100 |
| 32.83 | 55 |
| 33.17 | 41 |
| 37.87 | 53 |
| 40.64 | 31 |
| 51.21 | 28 |

Cell and atoms:
Unit cell a=5.649 b=5.649 c=10.804 alpha=90.00 beta=90.00 gamma=145.98
Fractional coordinates of all 14 atoms:
Th: 0.109 0.891 0.750
Th: 0.891 0.109 0.250
Zr: 0.366 0.634 0.567
Zr: 0.366 0.634 0.933
Zr: 0.634 0.366 0.067
Zr: 0.634 0.366 0.433
N: 0.000 0.000 0.000
N: 0.000 0.000 0.500
N: 0.268 0.732 0.114
N: 0.268 0.732 0.386
N: 0.455 0.545 0.750
N: 0.545 0.455 0.250
N: 0.732 0.268 0.614
N: 0.732 0.268 0.886

(2)
Ti3N: simulated XRD peak list (Cu Ka), based on the GGA-PBE geometry in Alexandria.
Intensities are scaled so that the largest is 100.

Principal peaks in the range 10° ≤ 2θ ≤ 90°, sorted by position:
| two_theta | I/Imax |
| --- | --- |
| 34.85 | 16 |
| 37.07 | 23 |
| 39.63 | 100 |
| 51.79 | 19 |
| 62.48 | 17 |
| 68.54 | 17 |
| 74.94 | 14 |
| 76.57 | 11 |

Cell and atoms:
Unit cell a=5.149 b=5.149 c=4.850 alpha=90.00 beta=90.00 gamma=120.00
Fractional coordinates of all 8 atoms:
Ti: 0.000 0.346 0.000
Ti: 0.000 0.654 0.500
Ti: 0.346 0.000 0.000
Ti: 0.346 0.346 0.500
Ti: 0.654 0.000 0.500
Ti: 0.654 0.654 0.000
N: 0.333 0.667 0.250
N: 0.667 0.333 0.750

(3)
Ti5N4: simulated XRD peak list (Cu Ka), based on the GGA-PBE geometry in Alexandria.
Intensities are scaled so that the largest is 100.

Principal peaks in the range 10° ≤ 2θ ≤ 90°, sorted by position:
| two_theta | I/Imax |
| --- | --- |
| 15.17 | 24 |
| 34.34 | 38 |
| 38.71 | 100 |
| 49.35 | 28 |
| 50.15 | 19 |
| 55.17 | 11 |
| 64.43 | 21 |
| 83.04 | 10 |

Cell and atoms:
Unit cell a=6.028 b=6.028 c=6.028 alpha=93.54 beta=93.54 gamma=151.24
Fractional coordinates of all 9 atoms:
Ti: 0.000 0.000 0.000
Ti: 0.238 0.416 0.654
Ti: 0.416 0.762 0.178
Ti: 0.584 0.238 0.822
Ti: 0.762 0.584 0.346
N: 0.105 0.218 0.323
N: 0.218 0.895 0.113
N: 0.782 0.105 0.887
N: 0.895 0.782 0.677

(4)
Ti5N2: simulated XRD peak list (Cu Ka), based on the GGA-PBE geometry in Alexandria.
Intensities are scaled so that the largest is 100.

Principal peaks in the range 10° ≤ 2θ ≤ 90°, sorted by position:
| two_theta | I/Imax |
| --- | --- |
| 35.82 | 25 |
| 37.09 | 52 |
| 39.09 | 97 |
| 39.30 | 100 |
| 40.51 | 59 |
| 52.52 | 27 |
| 60.57 | 17 |
| 63.43 | 27 |

Cell and atoms:
Unit cell a=7.106 b=7.106 c=5.750 alpha=103.34 beta=103.34 gamma=41.32
Fractional coordinates of all 14 atoms:
Ti: 0.072 0.928 0.750
Ti: 0.139 0.273 0.634
Ti: 0.273 0.139 0.134
Ti: 0.337 0.460 0.023
Ti: 0.460 0.337 0.523
Ti: 0.540 0.663 0.477
Ti: 0.663 0.540 0.977
Ti: 0.727 0.861 0.866
Ti: 0.861 0.727 0.366
Ti: 0.928 0.072 0.250
N: 0.094 0.609 0.698
N: 0.391 0.906 0.802
N: 0.609 0.094 0.198
N: 0.906 0.391 0.302

(5)
Ti8N5: simulated XRD peak list (Cu Ka), based on the GGA-PBE geometry in Alexandria.
Intensities are scaled so that the largest is 100.

Principal peaks in the range 10° ≤ 2θ ≤ 90°, sorted by position:
| two_theta | I/Imax |
| --- | --- |
| 23.56 | 10 |
| 36.75 | 100 |
| 41.96 | 32 |
| 43.05 | 64 |
| 61.69 | 35 |
| 62.52 | 18 |
| 74.77 | 25 |
| 78.17 | 16 |

Cell and atoms:
Unit cell a=4.202 b=4.202 c=8.612 alpha=90.00 beta=90.00 gamma=90.00
Fractional coordinates of all 13 atoms:
Ti: 0.000 0.000 0.241
Ti: 0.000 0.000 0.759
Ti: 0.000 0.500 0.514
Ti: 0.000 0.500 0.984
Ti: 0.500 0.000 0.016
Ti: 0.500 0.000 0.486
Ti: 0.500 0.500 0.256
Ti: 0.500 0.500 0.744
N: 0.000 0.000 0.000
N: 0.000 0.500 0.751
N: 0.500 0.000 0.249
N: 0.500 0.500 0.000
N: 0.500 0.500 0.500

(6)
Ti3N4: simulated XRD peak list (Cu Ka), based on the GGA-PBE geometry in Alexandria.
Intensities are scaled so that the largest is 100.

Principal peaks in the range 10° ≤ 2θ ≤ 90°, sorted by position:
| two_theta | I/Imax |
| --- | --- |
| 18.45 | 92 |
| 20.83 | 37 |
| 27.96 | 85 |
| 30.72 | 95 |
| 32.06 | 100 |
| 35.13 | 77 |
| 37.41 | 50 |
| 39.26 | 45 |

Cell and atoms:
Unit cell a=8.530 b=8.530 c=6.333 alpha=90.00 beta=90.00 gamma=120.00
Fractional coordinates of all 28 atoms:
Ti: 0.081 0.827 0.000
Ti: 0.085 0.505 0.713
Ti: 0.173 0.254 0.000
Ti: 0.254 0.173 0.500
Ti: 0.420 0.915 0.713
Ti: 0.495 0.580 0.713
Ti: 0.505 0.085 0.213
Ti: 0.580 0.495 0.213
Ti: 0.746 0.919 0.000
Ti: 0.827 0.081 0.500
Ti: 0.915 0.420 0.213
Ti: 0.919 0.746 0.500
N: 0.000 0.000 0.490
N: 0.000 0.000 0.990
N: 0.013 0.684 0.748
N: 0.045 0.384 0.985
N: 0.316 0.329 0.748
N: 0.329 0.316 0.248
N: 0.333 0.667 0.648
N: 0.339 0.955 0.985
N: 0.384 0.045 0.485
N: 0.616 0.661 0.985
N: 0.661 0.616 0.485
N: 0.667 0.333 0.148
N: 0.671 0.987 0.748
N: 0.684 0.013 0.248
N: 0.955 0.339 0.485
N: 0.987 0.671 0.248